1.
Simulated X-ray powder pattern
Compound: Al17Si4Pd8
Radiation: Cu Kα (λ = 1.5418 Å)
Structure: a structure optimized by DFT (PBE)
Neutral-atom scattering factors, no anomalous dispersion.

Atomic structure:
a = 12.9774 Å, b = 12.9774 Å, c = 10.8012 Å
α = 90.00°, β = 90.00°, γ = 90.00°
Space group I4_1/a (No. 88, origin choice 2)
Inequivalent atoms, fractional coordinates:
Al  0.0000  0.2500  0.1250 x4
Al  0.0104  0.0316  0.1448 x16
Al  0.0730  0.3468  0.3483 x16
Al  0.0863  0.0017  0.4253 x16
Al  0.2101  0.4711  0.1523 x16
Si  0.0493  0.3347  0.7368 x16
Pd  0.0952  0.3823  0.9722 x16
Pd  0.0961  0.0410  0.6670 x16

The 6 most intense peaks (2θ from 10° to 90°), sorted by position:
- (2 2 2), 3.497 Å, 25.5°, I 62.3
- (1 0 3), 3.469 Å, 25.7°, I 38.7
- (2 3 1), 3.415 Å, 26.1°, I 100.0
- (5 0 3), 2.105 Å, 43.0°, I 44.7
- (1 2 5), 2.024 Å, 44.8°, I 68.6
- (5 4 1), 1.992 Å, 45.5°, I 52.3

***

2.
Simulated X-ray powder pattern
Compound: BaCuO2
Radiation: Cu Kα (λ = 1.5418 Å)
Structure: a structure optimized by DFT (PBE)
Neutral-atom scattering factors, no anomalous dispersion.

Atomic structure:
a = 3.7202 Å, b = 11.8990 Å, c = 5.9568 Å
α = 90.00°, β = 90.00°, γ = 90.00°
Space group Pbcm (No. 57)
Inequivalent atoms, fractional coordinates:
Ba  0.0007  0.1386  0.2500 x4
Cu  0.4993  0.6324  0.7500 x4
O  0.0007  0.0879  0.7500 x4
O  0.4993  0.7500  0.0000 x4

The 6 most intense peaks (2θ from 10° to 90°), sorted by position:
- (0 0 2), 2.977 Å, 30.0°, I 66.3
- (1 2 1), 2.788 Å, 32.1°, I 100.0
- (0 4 2), 2.105 Å, 43.0°, I 30.8
- (1 2 3), 1.680 Å, 54.6°, I 42.1
- (2 0 2), 1.577 Å, 58.5°, I 19.3
- (2 4 2), 1.394 Å, 67.2°, I 15.1

***

3.
Simulated X-ray powder pattern
Compound: YI3O11
Radiation: Cu Kα (λ = 1.5418 Å)
Structure: a structure optimized by DFT (PBE)
Neutral-atom scattering factors, no anomalous dispersion.

Atomic structure:
a = 7.2407 Å, b = 7.5462 Å, c = 9.5865 Å
α = 81.04°, β = 86.41°, γ = 70.55°
Space group P-1 (No. 2)
Inequivalent atoms, fractional coordinates:
Y  0.2389  0.1600  0.1673 x2
I  0.1757  0.7549  0.4830 x2
I  0.2367  0.9004  0.8538 x2
I  0.3815  0.3561  0.7992 x2
O  0.0977  0.9884  0.3566 x2
O  0.1067  0.7276  0.8591 x2
O  0.1346  0.4976  0.2008 x2
O  0.2052  0.3109  0.9360 x2
O  0.2095  0.4499  0.6529 x2
O  0.2128  0.9274  0.0428 x2
O  0.2349  0.2074  0.4047 x2
O  0.3391  0.6077  0.3613 x2
O  0.3412  0.8076  0.5919 x2
O  0.4782  0.1035  0.7711 x2
O  0.4882  0.7312  0.8729 x2

The 6 most intense peaks (2θ from 10° to 90°), sorted by position:
- (1 1 1), 5.386 Å, 16.5°, I 53.2
- (1 0 2), 3.912 Å, 22.7°, I 38.4
- (2 0 0), 3.413 Å, 26.1°, I 38.4
- (2 1 -1), 3.247 Å, 27.5°, I 34.2
- (0 0 3), 3.156 Å, 28.3°, I 100.0
- (0 2 2), 3.043 Å, 29.3°, I 40.9

***

4.
Simulated X-ray powder pattern
Compound: Ca7Ti8S16
Radiation: Cu Kα (λ = 1.5418 Å)
Structure: a structure optimized by DFT (PBE)
Neutral-atom scattering factors, no anomalous dispersion.

Atomic structure:
a = 7.2297 Å, b = 7.2297 Å, c = 13.2245 Å
α = 90.00°, β = 90.00°, γ = 120.00°
Space group P-3m1 (No. 164)
Inequivalent atoms, fractional coordinates:
Ca  0.0000  0.0000  0.0000 x1
Ca  0.0000  0.5000  0.0000 x3
Ca  0.0000  0.5000  0.5000 x3
Ti  0.0000  0.0000  0.2530 x2
Ti  0.0364  0.5182  0.2494 x6
S  0.1665  0.3331  0.8577 x6
S  0.1675  0.3350  0.3603 x6
S  0.3333  0.6667  0.1311 x2
S  0.3333  0.6667  0.6472 x2

The 6 most intense peaks (2θ from 10° to 90°), sorted by position:
- (2 0 0), 3.131 Å, 28.5°, I 23.7
- (0 2 2), 2.829 Å, 31.6°, I 47.3
- (0 2 4), 2.273 Å, 39.6°, I 100.0
- (2 2 0), 1.807 Å, 50.5°, I 37.2
- (4 0 4), 1.415 Å, 66.0°, I 17.5
- (2 4 4), 1.114 Å, 87.6°, I 14.6

***

5.
Simulated X-ray powder pattern
Compound: SmPO4
Radiation: Cu Kα (λ = 1.5418 Å)
Structure: a structure optimized by DFT (PBE)
Neutral-atom scattering factors, no anomalous dispersion.

Atomic structure:
a = 7.1220 Å, b = 7.1220 Å, c = 6.1570 Å
α = 90.00°, β = 90.00°, γ = 90.00°
Space group I4_1/amd (No. 141, origin choice 2)
Inequivalent atoms, fractional coordinates:
Sm  0.0000  0.2500  0.3750 x4
P  0.0000  0.2500  0.8750 x4
O  0.0000  0.0790  0.7180 x16

The 6 most intense peaks (2θ from 10° to 90°), sorted by position:
- (1 0 1), 4.658 Å, 19.1°, I 50.7
- (2 0 0), 3.561 Å, 25.0°, I 100.0
- (2 1 1), 2.829 Å, 31.6°, I 22.8
- (1 1 2), 2.627 Å, 34.1°, I 64.1
- (3 2 1), 1.881 Å, 48.4°, I 20.9
- (3 1 2), 1.818 Å, 50.2°, I 52.3

***

6.
Simulated X-ray powder pattern
Compound: Ga2Ni7Ge2
Radiation: Cu Kα (λ = 1.5418 Å)
Structure: a structure optimized by DFT (PBE)
Neutral-atom scattering factors, no anomalous dispersion.

Atomic structure:
a = 3.9875 Å, b = 3.9875 Å, c = 9.9841 Å
α = 90.00°, β = 90.00°, γ = 120.00°
Space group P-6m2 (No. 187)
Inequivalent atoms, fractional coordinates:
Ga  0.0000  0.0000  0.0000 x1
Ga  0.0000  0.0000  0.5000 x1
Ni  0.0000  0.0000  0.2451 x2
Ni  0.3333  0.6667  0.1241 x2
Ni  0.3333  0.6667  0.3745 x2
Ni  0.6667  0.3333  0.5000 x1
Ge  0.6667  0.3333  0.2409 x2

The 6 most intense peaks (2θ from 10° to 90°), sorted by position:
- (1 0 2), 2.840 Å, 31.5°, I 8.7
- (1 0 4), 2.023 Å, 44.8°, I 94.9
- (1 1 0), 1.994 Å, 45.5°, I 100.0
- (2 0 4), 1.420 Å, 65.8°, I 28.0
- (2 1 4), 1.157 Å, 83.6°, I 27.6
- (3 0 0), 1.151 Å, 84.1°, I 15.2

***

7.
Simulated X-ray powder pattern
Compound: MgNb2Rh2O8
Radiation: Cu Kα (λ = 1.5418 Å)
Structure: a structure optimized by DFT (PBE)
Neutral-atom scattering factors, no anomalous dispersion.

Atomic structure:
a = 5.9188 Å, b = 5.9278 Å, c = 6.2121 Å
α = 61.63°, β = 83.29°, γ = 60.56°
Space group P1 (No. 1)
Inequivalent atoms, fractional coordinates:
Mg  0.0000  0.0000  0.0000 x1
Nb  0.0990  0.9831  0.4733 x1
Nb  0.5870  0.6883  0.0299 x1
Rh  0.0284  0.5196  0.5340 x1
Rh  0.4896  0.2802  0.0433 x1
O  0.2228  0.0486  0.7263 x1
O  0.2247  0.5803  0.7339 x1
O  0.3001  0.9985  0.2149 x1
O  0.3137  0.5775  0.1725 x1
O  0.6938  0.9823  0.9085 x1
O  0.7587  0.4623  0.8578 x1
O  0.8169  0.9843  0.3295 x1
O  0.8366  0.4345  0.3414 x1

The 6 most intense peaks (2θ from 10° to 90°), sorted by position:
- (1 0 -1), 4.025 Å, 22.1°, I 100.0
- (1 0 1), 3.453 Å, 25.8°, I 73.1
- (0 0 2), 2.701 Å, 33.2°, I 27.8
- (1 2 0), 2.603 Å, 34.5°, I 28.9
- (1 2 2), 2.594 Å, 34.6°, I 27.3
- (2 2 1), 2.549 Å, 35.2°, I 42.0

***

Number 3 is which compound?
YI3O11